No. 1
Structure and simulated powder diffraction line list of YHfMg14O16 (a DFT-relaxed cell (GGA-PBE, the Materials Project); Cu Kα).
Neutral-atom scattering factors, no anomalous dispersion.

Most intense lines, 10 to 90 degrees two-theta, in order of rising 2θ:
14.24 deg, d 6.219, I 66
20.19 deg, d 4.397, I 38
24.90 deg, d 3.576, I 46
28.77 deg, d 3.103, I 48
35.43 deg, d 2.534, I 51
38.36 deg, d 2.346, I 29
41.05 deg, d 2.199, I 100
41.32 deg, d 2.185, I 50
59.45 deg, d 1.555, I 29
59.66 deg, d 1.550, I 59

Cell and atoms:
a = 8.7945 Å, b = 8.7945 Å, c = 4.3701 Å
α = 90.00°, β = 90.00°, γ = 90.00°
Positions (direct):
Y1 0.0000 0.0000 0.0000
Hf1 0.5000 0.5000 0.0000
Mg1 0.0000 0.2627 0.5000
Mg2 0.0000 0.5000 0.0000
Mg3 0.0000 0.7373 0.5000
Mg4 0.2457 0.5000 0.5000
Mg5 0.2558 0.2558 0.0000
Mg6 0.2558 0.7442 0.0000
Mg7 0.2627 0.0000 0.5000
Mg8 0.5000 0.0000 0.0000
Mg9 0.5000 0.2457 0.5000
Mg10 0.5000 0.7543 0.5000
Mg11 0.7373 0.0000 0.5000
Mg12 0.7442 0.2558 0.0000
Mg13 0.7442 0.7442 0.0000
Mg14 0.7543 0.5000 0.5000
O1 0.0000 0.0000 0.5000
O2 0.0000 0.2576 0.0000
O3 0.0000 0.5000 0.5000
O4 0.0000 0.7424 0.0000
O5 0.2369 0.5000 0.0000
O6 0.2480 0.2480 0.5000
O7 0.2480 0.7520 0.5000
O8 0.2576 0.0000 0.0000
O9 0.5000 0.0000 0.5000
O10 0.5000 0.2369 0.0000
O11 0.5000 0.5000 0.5000
O12 0.5000 0.7631 0.0000
O13 0.7424 0.0000 0.0000
O14 0.7520 0.2480 0.5000
O15 0.7520 0.7520 0.5000
O16 0.7631 0.5000 0.0000

No. 2
Structure and simulated powder diffraction line list of YMg5 (a DFT-relaxed cell (GGA-PBE, the Materials Project); Cu Kα).
Neutral-atom scattering factors, no anomalous dispersion.

Most intense lines, 10 to 90 degrees two-theta, in order of rising 2θ:
10.34 deg, d 8.552, I 52
16.52 deg, d 5.367, I 20
19.53 deg, d 4.546, I 26
31.59 deg, d 2.833, I 28
33.39 deg, d 2.683, I 39
35.66 deg, d 2.518, I 50
35.85 deg, d 2.505, I 100
46.62 deg, d 1.948, I 19
61.29 deg, d 1.513, I 20
66.78 deg, d 1.401, I 19

Cell and atoms:
a = 5.3669 Å, b = 3.2638 Å, c = 17.1036 Å
α = 90.00°, β = 90.00°, γ = 90.00°
Positions (direct):
Y1 0.0000 0.0000 0.0000
Y2 0.0000 0.5000 0.5000
Mg1 0.0000 0.0000 0.3327
Mg2 0.0000 0.0000 0.6695
Mg3 0.0000 0.5000 0.1695
Mg4 0.0000 0.5000 0.8327
Mg5 0.5000 0.0000 0.1130
Mg6 0.5000 0.0000 0.4444
Mg7 0.5000 0.0000 0.7789
Mg8 0.5000 0.5000 0.2789
Mg9 0.5000 0.5000 0.6130
Mg10 0.5000 0.5000 0.9444

No. 3
Structure and simulated powder diffraction line list of CrIn3N3 (a DFT-relaxed cell (GGA-PBE, the Materials Project); Cu Kα).
Neutral-atom scattering factors, no anomalous dispersion.

Most intense lines, 10 to 90 degrees two-theta, in order of rising 2θ:
10.64 deg, d 8.311, I 15
18.49 deg, d 4.798, I 28
31.37 deg, d 2.852, I 100
32.27 deg, d 2.774, I 50
32.43 deg, d 2.761, I 25
33.21 deg, d 2.697, I 12
45.55 deg, d 1.991, I 13
45.71 deg, d 1.985, I 25
56.95 deg, d 1.617, I 15
62.18 deg, d 1.493, I 15

Cell and atoms:
a = 9.5786 Å, b = 3.5462 Å, c = 9.5814 Å
α = 90.00°, β = 119.68°, γ = 90.00°
Positions (direct):
Cr1 0.1678 0.2500 0.3326
Cr2 0.8322 0.7500 0.6674
In1 0.1548 0.2500 0.6804
In2 0.1801 0.7500 0.0215
In3 0.4720 0.7500 0.6549
In4 0.5280 0.2500 0.3451
In5 0.8199 0.2500 0.9785
In6 0.8452 0.7500 0.3196
N1 0.0267 0.2500 0.3940
N2 0.1086 0.2500 0.1316
N3 0.3685 0.2500 0.4728
N4 0.6315 0.7500 0.5272
N5 0.8914 0.7500 0.8684
N6 0.9733 0.7500 0.6060

No. 4
Structure and simulated powder diffraction line list of Gd2Zr2O7 (a DFT-relaxed cell (GGA-PBE, the Materials Project); Cu Kα).
Neutral-atom scattering factors, no anomalous dispersion.

Most intense lines, 10 to 90 degrees two-theta, in order of rising 2θ:
14.02 deg, d 6.316, I 39
14.20 deg, d 6.238, I 52
14.57 deg, d 6.081, I 44
14.92 deg, d 5.938, I 33
28.62 deg, d 3.119, I 96
29.02 deg, d 3.077, I 100
29.37 deg, d 3.041, I 91
30.10 deg, d 2.969, I 96
33.55 deg, d 2.671, I 75
34.72 deg, d 2.584, I 45

Cell and atoms:
a = 7.3375 Å, b = 7.5320 Å, c = 12.7594 Å
α = 92.39°, β = 104.09°, γ = 118.45°
Positions (direct):
Gd1 0.0000 0.0000 0.0000
Gd2 0.0053 0.0502 0.4935
Gd3 0.4738 0.5048 0.4724
Gd4 0.5254 0.0133 0.0038
Gd5 0.9793 0.2641 0.2415
Gd6 0.9879 0.5593 0.4726
Zr1 0.4673 0.5434 0.9782
Zr2 0.4927 0.0646 0.5151
Zr3 0.4960 0.2844 0.2307
Zr4 0.5162 0.8063 0.7633
Zr5 0.9677 0.7977 0.2446
Zr6 0.9744 0.2973 0.7466
O1 0.1066 0.3562 0.4315
O2 0.1750 0.0426 0.1895
O3 0.1960 0.8596 0.4066
O4 0.3118 0.4936 0.7982
O5 0.3351 0.6829 0.0260
O6 0.3716 0.4573 0.2899
O7 0.3731 0.2209 0.5678
O8 0.3771 0.2577 0.0370
O9 0.3939 0.9518 0.8123
O10 0.4263 0.7822 0.5862
O11 0.5886 0.2746 0.4084
O12 0.6049 0.1049 0.1853
O13 0.6499 0.8097 0.9261
O14 0.7821 0.6751 0.0880
O15 0.8264 0.4318 0.7622
O16 0.8276 0.7262 0.5144
O17 0.8382 0.1797 0.5782
O18 0.8516 0.5024 0.2842
O19 0.8569 0.0320 0.8059
O20 0.8622 0.9562 0.3095
O21 0.8907 0.1855 0.0593

No. 5
Structure and simulated powder diffraction line list of CrCu2N3 (a DFT-relaxed cell (GGA-PBE, the Materials Project); Cu Kα).
Neutral-atom scattering factors, no anomalous dispersion.

Most intense lines, 10 to 90 degrees two-theta, in order of rising 2θ:
33.36 deg, d 2.686, I 83
34.42 deg, d 2.606, I 40
37.46 deg, d 2.401, I 50
38.39 deg, d 2.345, I 100
48.68 deg, d 1.871, I 16
60.34 deg, d 1.534, I 27
62.31 deg, d 1.490, I 25
62.97 deg, d 1.476, I 29
70.72 deg, d 1.332, I 20
72.57 deg, d 1.303, I 20

Cell and atoms:
a = 5.2148 Å, b = 5.2148 Å, c = 5.3736 Å
α = 90.00°, β = 90.00°, γ = 61.95°
Positions (direct):
Cr1 0.1579 0.8421 0.5000
Cr2 0.8421 0.1579 0.0000
Cu1 0.1702 0.5218 0.9486
Cu2 0.4782 0.8298 0.9486
Cu3 0.5218 0.1702 0.4486
Cu4 0.8298 0.4782 0.4486
N1 0.1445 0.8555 0.1568
N2 0.1708 0.5138 0.5816
N3 0.4862 0.8292 0.5816
N4 0.5138 0.1708 0.0816
N5 0.8292 0.4862 0.0816
N6 0.8555 0.1445 0.6568

What did the third record say?
Structure and simulated powder diffraction line list of CrIn3N3 (a DFT-relaxed cell (GGA-PBE, the Materials Project); Cu Kα).
Neutral-atom scattering factors, no anomalous dispersion.

Most intense lines, 10 to 90 degrees two-theta, in order of rising 2θ:
10.64 deg, d 8.311, I 15
18.49 deg, d 4.798, I 28
31.37 deg, d 2.852, I 100
32.27 deg, d 2.774, I 50
32.43 deg, d 2.761, I 25
33.21 deg, d 2.697, I 12
45.55 deg, d 1.991, I 13
45.71 deg, d 1.985, I 25
56.95 deg, d 1.617, I 15
62.18 deg, d 1.493, I 15

Cell and atoms:
a = 9.5786 Å, b = 3.5462 Å, c = 9.5814 Å
α = 90.00°, β = 119.68°, γ = 90.00°
Positions (direct):
Cr1 0.1678 0.2500 0.3326
Cr2 0.8322 0.7500 0.6674
In1 0.1548 0.2500 0.6804
In2 0.1801 0.7500 0.0215
In3 0.4720 0.7500 0.6549
In4 0.5280 0.2500 0.3451
In5 0.8199 0.2500 0.9785
In6 0.8452 0.7500 0.3196
N1 0.0267 0.2500 0.3940
N2 0.1086 0.2500 0.1316
N3 0.3685 0.2500 0.4728
N4 0.6315 0.7500 0.5272
N5 0.8914 0.7500 0.8684
N6 0.9733 0.7500 0.6060

Please write out number 2 again, unchanged.
Structure and simulated powder diffraction line list of YMg5 (a DFT-relaxed cell (GGA-PBE, the Materials Project); Cu Kα).
Neutral-atom scattering factors, no anomalous dispersion.

Most intense lines, 10 to 90 degrees two-theta, in order of rising 2θ:
10.34 deg, d 8.552, I 52
16.52 deg, d 5.367, I 20
19.53 deg, d 4.546, I 26
31.59 deg, d 2.833, I 28
33.39 deg, d 2.683, I 39
35.66 deg, d 2.518, I 50
35.85 deg, d 2.505, I 100
46.62 deg, d 1.948, I 19
61.29 deg, d 1.513, I 20
66.78 deg, d 1.401, I 19

Cell and atoms:
a = 5.3669 Å, b = 3.2638 Å, c = 17.1036 Å
α = 90.00°, β = 90.00°, γ = 90.00°
Positions (direct):
Y1 0.0000 0.0000 0.0000
Y2 0.0000 0.5000 0.5000
Mg1 0.0000 0.0000 0.3327
Mg2 0.0000 0.0000 0.6695
Mg3 0.0000 0.5000 0.1695
Mg4 0.0000 0.5000 0.8327
Mg5 0.5000 0.0000 0.1130
Mg6 0.5000 0.0000 0.4444
Mg7 0.5000 0.0000 0.7789
Mg8 0.5000 0.5000 0.2789
Mg9 0.5000 0.5000 0.6130
Mg10 0.5000 0.5000 0.9444

Question: Which formula does entry 2 have?
Answer: YMg5

Copy entry 3 word for word.
Structure and simulated powder diffraction line list of CrIn3N3 (a DFT-relaxed cell (GGA-PBE, the Materials Project); Cu Kα).
Neutral-atom scattering factors, no anomalous dispersion.

Most intense lines, 10 to 90 degrees two-theta, in order of rising 2θ:
10.64 deg, d 8.311, I 15
18.49 deg, d 4.798, I 28
31.37 deg, d 2.852, I 100
32.27 deg, d 2.774, I 50
32.43 deg, d 2.761, I 25
33.21 deg, d 2.697, I 12
45.55 deg, d 1.991, I 13
45.71 deg, d 1.985, I 25
56.95 deg, d 1.617, I 15
62.18 deg, d 1.493, I 15

Cell and atoms:
a = 9.5786 Å, b = 3.5462 Å, c = 9.5814 Å
α = 90.00°, β = 119.68°, γ = 90.00°
Positions (direct):
Cr1 0.1678 0.2500 0.3326
Cr2 0.8322 0.7500 0.6674
In1 0.1548 0.2500 0.6804
In2 0.1801 0.7500 0.0215
In3 0.4720 0.7500 0.6549
In4 0.5280 0.2500 0.3451
In5 0.8199 0.2500 0.9785
In6 0.8452 0.7500 0.3196
N1 0.0267 0.2500 0.3940
N2 0.1086 0.2500 0.1316
N3 0.3685 0.2500 0.4728
N4 0.6315 0.7500 0.5272
N5 0.8914 0.7500 0.8684
N6 0.9733 0.7500 0.6060